Record 1
# CaW2O4
Simulated X-ray diffraction stick pattern, Cu Kα, 1.54184 Å. Input: the PBE+U geometry in the Materials Project.
Kinematic intensities with the Lorentz-polarization factor, no thermal factor.

Atomic structure:
```
56
Lattice="5.6554 -3.2770 0.0000 5.6554 3.2770 0.0000 -4.5071 0.0000 21.6700" Properties=species:S:1:pos:R:3 pbc="T T T"
Ca 0.0000 0.0000 0.0000
Ca -0.5790 0.0000 16.2602
Ca 1.4292 0.0000 13.5741
Ca 3.4261 0.0000 10.8160
Ca 5.5542 0.0000 2.0866
Ca 5.4411 0.0000 8.1034
Ca 7.4823 0.0000 5.4554
Ca 4.9767 0.0000 18.2890
W 0.5940 1.6403 10.8383
W -2.2524 0.0000 12.9243
W -2.5297 0.0000 18.9299
W 2.0027 0.0000 3.3764
W 2.2333 1.6527 16.2588
W 4.6747 1.6381 5.4381
W 1.8238 0.0000 7.5421
W 1.1917 0.0000 19.5982
W 0.5940 -1.6403 10.8383
W 8.4955 1.6121 0.0085
W 5.0724 0.0000 14.1847
W 2.2333 -1.6527 16.2588
W 4.6747 -1.6381 5.4381
W 9.3980 0.0000 2.6839
W 9.0851 0.0000 8.7118
W 8.4955 -1.6121 0.0085
O -2.6132 0.0000 14.9156
O -0.2517 0.0000 4.1431
O 0.4819 1.6074 14.9412
O 2.9547 1.7118 4.0567
O 4.5060 1.7880 1.3484
O 2.3649 1.6935 12.1273
O -0.4062 0.0000 11.9955
O 1.9848 0.0000 1.2791
O 1.3667 0.0000 9.6878
O 2.2590 1.7584 20.2717
O -0.7944 0.0000 20.4245
O 4.4920 1.6849 9.5491
O 3.9118 1.8079 17.5730
O 6.4050 1.6163 6.7334
O 3.7216 0.0000 6.4945
O 1.4667 0.0000 17.5323
O 3.1565 0.0000 15.1727
O 0.4819 -1.6074 14.9412
O 5.5061 0.0000 4.3200
O 2.9547 -1.7118 4.0567
O 2.3649 -1.6935 12.1273
O 4.5060 -1.7880 1.3484
O 5.4675 0.0000 12.0164
O 7.7264 0.0000 1.2591
O 4.8020 0.0000 20.5360
O 7.2429 0.0000 9.6993
O 4.4920 -1.6849 9.5491
O 2.2590 -1.7584 20.2717
O 6.4050 -1.6163 6.7334
O 3.9118 -1.8079 17.5730
O 7.1528 0.0000 17.4958
O 9.4968 0.0000 6.7188
```

Peak list (12 most intense, 2θ from 10° to 90°, by intensity)
d_spacing, intensity
2.803, 1000
3.270, 408
2.837, 405
2.765, 384
1.638, 375
1.810, 326
3.354, 305
5.399, 269
2.777, 268
1.633, 243
2.663, 176
4.568, 148

Record 2
# Rb2CoF6
Simulated X-ray diffraction stick pattern, Cu Kα, 1.54184 Å. Input: the PBE+U geometry in the Materials Project.
Kinematic intensities with the Lorentz-polarization factor, no thermal factor.

Atomic structure:
```
9
Lattice="0.0000 4.3633 4.3633 4.3633 0.0000 4.3633 4.3633 4.3633 0.0000" Properties=species:S:1:pos:R:3 pbc="T T T"
Rb 2.1817 2.1817 2.1817
Rb 6.5450 6.5450 6.5450
Co 0.0000 0.0000 0.0000
F 4.3633 4.3633 1.8701
F 4.3633 1.8701 4.3633
F 6.8565 4.3633 4.3633
F 1.8701 4.3633 4.3633
F 4.3633 6.8565 4.3633
F 4.3633 4.3633 6.8565
```

Peak list (12 most intense, 2θ from 10° to 90°, by intensity)
d_spacing, intensity
3.085, 1000
2.182, 507
5.038, 455
2.519, 437
1.781, 351
1.543, 280
1.166, 224
1.380, 212
4.363, 119
1.316, 108
2.631, 96
1.951, 91

Record 3
# Li5Fe8B8O24
Simulated X-ray diffraction stick pattern, Cu Kα, 1.54184 Å. Input: the PBE+U geometry in the Materials Project.
Kinematic intensities with the Lorentz-polarization factor, no thermal factor.

Atomic structure:
```
45
Lattice="5.2717 0.0000 0.0000 0.0279 9.0437 0.0000 2.4266 4.4680 10.2258" Properties=species:S:1:pos:R:3 pbc="T T T"
Li 0.0000 0.0000 0.0000
Li 0.9680 4.4218 2.4183
Li 2.5849 4.2736 5.1039
Li 5.1029 9.0130 10.1809
Li 6.1277 4.4729 7.5848
Fe 2.4743 7.4511 9.8788
Fe 0.9371 7.5590 2.2257
Fe 2.6515 10.2794 4.8147
Fe 3.5305 5.9578 7.3076
Fe 5.1057 12.0029 9.9233
Fe 3.6328 2.8789 2.3015
Fe 5.1948 6.0227 4.6981
Fe 6.0904 10.4130 7.2571
B 2.4544 10.4378 9.8379
B 0.9652 1.4899 2.1444
B 2.6398 7.3210 4.7518
B 3.4350 11.9404 7.3268
B 5.1832 5.9630 9.8226
B 3.5283 5.9091 2.1595
B 5.2526 2.9876 4.8324
B 6.1154 7.4274 7.3284
O 2.0819 7.2598 7.9421
O 1.3268 7.2082 4.2971
O 3.0611 11.6390 10.1556
O 3.1436 9.2416 10.0174
O 2.7399 10.7765 7.0870
O 2.7614 4.1190 7.1996
O 2.1555 1.6036 2.7931
O 3.8184 6.0151 9.5291
O 3.2878 6.0921 5.1128
O 3.3097 8.4646 4.8572
O 2.8681 4.6973 2.0522
O 2.8949 7.0486 1.7363
O 3.9184 2.9275 4.4864
O 4.7982 11.9044 7.6727
O 3.3929 2.6589 0.0176
O 5.8884 4.7942 9.6200
O 5.4820 8.6181 7.3015
O 5.5205 6.2549 6.7913
O 6.3924 10.4011 9.4022
O 4.8476 5.9351 2.6674
O 5.9657 10.9328 5.3222
O 5.9476 4.2049 4.6642
O 5.6074 9.3766 1.8613
O 5.6062 2.7037 1.6731
```

Peak list (12 most intense, 2θ from 10° to 90°, by intensity)
d_spacing, intensity
4.133, 1000
2.556, 706
2.617, 506
4.522, 477
3.369, 315
3.426, 284
4.554, 278
2.234, 205
3.440, 198
2.635, 197
1.295, 161
2.227, 156

Record 4
# VO3
Simulated X-ray diffraction stick pattern, Cu Kα, 1.54184 Å. Input: the PBE+U geometry in the Materials Project.
Kinematic intensities with the Lorentz-polarization factor, no thermal factor.

Atomic structure:
```
16
Lattice="5.6300 0.0000 0.0000 0.0000 8.6405 0.0000 0.0000 0.0000 3.9592" Properties=species:S:1:pos:R:3 pbc="T T T"
V 0.0000 2.1601 0.6660
V 0.0000 6.4804 3.2932
V 2.8150 2.1601 1.3136
V 2.8150 6.4804 2.6456
O 0.0000 2.1601 2.9564
O 0.0000 6.4804 1.0028
O 1.4075 0.9258 0.9898
O 1.4075 3.3945 0.9898
O 1.4075 5.2461 2.9694
O 1.4075 7.7147 2.9694
O 2.8150 2.1601 2.9824
O 2.8150 6.4804 0.9768
O 4.2225 0.9258 0.9898
O 4.2225 3.3945 0.9898
O 4.2225 5.2461 2.9694
O 4.2225 7.7147 2.9694
```

Peak list (12 most intense, 2θ from 10° to 90°, by intensity)
d_spacing, intensity
4.320, 1000
3.599, 800
2.359, 566
1.714, 299
1.794, 260
1.825, 169
2.591, 164
1.980, 155
3.239, 154
1.296, 100
1.798, 100
1.516, 97

Record 5
# KScMo2O8
Simulated X-ray diffraction stick pattern, Cu Kα, 1.54184 Å. Input: the PBE+U geometry in the Materials Project.
Kinematic intensities with the Lorentz-polarization factor, no thermal factor.

Atomic structure:
```
12
Lattice="5.8850 0.0000 0.0000 -2.9425 5.0966 0.0000 0.0000 0.0000 7.4049" Properties=species:S:1:pos:R:3 pbc="T T T"
K 0.0000 0.0000 0.0000
Sc 0.0000 0.0000 3.7024
Mo 0.0000 3.3977 5.5402
Mo 2.9425 1.6988 1.8647
O 0.0000 1.6768 4.9755
O -1.4904 4.2582 4.9755
O 1.4521 0.8384 2.4294
O 0.0000 3.3977 7.2891
O 2.9425 1.6988 0.1158
O 1.4904 4.2582 4.9755
O 4.4329 0.8384 2.4294
O 2.9425 3.4198 2.4294
```

Peak list (12 most intense, 2θ from 10° to 90°, by intensity)
d_spacing, intensity
4.198, 1000
2.942, 391
2.995, 259
1.864, 196
2.099, 153
1.567, 136
2.221, 118
1.709, 96
1.471, 82
1.699, 71
1.519, 69
1.388, 69

Record 6
# Li4Mn3Cr3Co2O16
Simulated X-ray diffraction stick pattern, Cu Kα, 1.54184 Å. Input: the PBE+U geometry in the Materials Project.
Kinematic intensities with the Lorentz-polarization factor, no thermal factor.

Atomic structure:
```
28
Lattice="5.0633 -2.9264 0.0000 5.0633 2.9264 0.0000 -0.1012 0.0000 9.6493" Properties=species:S:1:pos:R:3 pbc="T T T"
Li 0.0000 0.0000 0.0000
Li -0.0424 0.0000 4.8212
Li 3.3110 0.0000 8.6693
Li 6.7602 0.0000 3.8504
Mn 1.7337 0.0000 2.1027
Mn 5.8722 1.4507 6.9210
Mn 5.8722 -1.4507 6.9210
Cr 4.2387 1.4428 2.0972
Cr 4.2387 -1.4428 2.0972
Cr 8.3708 0.0000 6.9214
Co 3.3495 0.0000 4.7982
Co 6.6798 0.0000 9.6132
O -0.0047 0.0000 7.8657
O 0.0686 0.0000 3.0522
O 2.6500 1.3090 3.2158
O 4.2110 1.5446 5.8729
O 1.5625 0.0000 5.8703
O 5.8642 1.5350 1.0445
O 3.3518 0.0000 1.0495
O 4.9106 0.0000 3.1636
O 2.6500 -1.3090 3.2158
O 7.4712 1.3162 8.0050
O 5.2093 0.0000 8.0574
O 6.6573 0.0000 5.8907
O 4.2110 -1.5446 5.8729
O 5.8642 -1.5350 1.0445
O 8.5246 0.0000 1.0760
O 7.4712 -1.3162 8.0050
```

Peak list (12 most intense, 2θ from 10° to 90°, by intensity)
d_spacing, intensity
4.825, 1000
4.498, 711
4.473, 709
1.462, 586
1.997, 394
2.446, 367
2.454, 360
2.724, 313
2.491, 305
2.502, 294
2.511, 289
2.707, 285

Record 7
# MgMnCo2O6
Simulated X-ray diffraction stick pattern, Cu Kα, 1.54184 Å. Input: the PBE+U geometry in the Materials Project.
Kinematic intensities with the Lorentz-polarization factor, no thermal factor.

Atomic structure:
```
10
Lattice="6.4787 -1.4627 0.0000 6.4787 1.4627 0.0000 -1.5026 0.0000 5.7402" Properties=species:S:1:pos:R:3 pbc="T T T"
Mg 0.0000 0.0000 0.0000
Mn 7.4646 0.0000 4.7280
Co -0.6630 0.0000 2.8121
Co 4.0095 0.0000 1.0711
O 1.1461 0.0000 3.4519
O 2.1077 0.0000 0.2044
O 6.0986 0.0000 1.3986
O 5.5609 0.0000 4.3007
O 9.2519 0.0000 5.5093
O 10.4990 0.0000 2.3055
```

Peak list (12 most intense, 2θ from 10° to 90°, by intensity)
d_spacing, intensity
4.895, 1000
2.083, 513
2.496, 344
2.089, 258
1.462, 215
2.394, 172
1.488, 125
1.402, 92
1.614, 88
2.448, 67
1.198, 64
1.921, 61

Record 8
# Fe2CoAs2H10O14
Simulated X-ray diffraction stick pattern, Cu Kα, 1.54184 Å. Input: the PBE+U geometry in the Materials Project.
Kinematic intensities with the Lorentz-polarization factor, no thermal factor.

Atomic structure:
```
58
Lattice="10.4434 0.0000 0.0000 0.0000 9.6925 0.0000 -0.3901 0.0000 5.6243" Properties=species:S:1:pos:R:3 pbc="T T T"
Fe 0.4526 1.3158 0.9091
Fe 0.2576 3.5304 3.7212
Fe 9.7957 6.1621 1.9031
Fe 9.6006 8.3767 4.7153
Co 5.0266 0.0000 2.8122
Co 5.2217 4.8463 0.0000
As 1.8936 0.6630 3.7821
As 2.0887 4.1833 0.9700
As 7.9645 5.5092 4.6544
As 8.1596 9.0296 1.8422
H 0.4761 6.3823 5.5255
H 0.6712 8.1565 2.7133
H 2.6898 5.6659 4.2654
H 2.8849 8.8729 1.4532
H 3.7716 2.0620 1.5985
H 3.5765 2.7843 4.4106
H 3.6939 5.4082 3.0738
H 3.8890 9.1306 0.2616
H 4.7354 7.2426 3.8254
H 4.9304 7.2962 1.0133
H 5.1228 2.3963 4.6111
H 5.3179 2.4500 1.7989
H 6.1643 0.5619 5.3627
H 6.3593 4.2844 2.5505
H 6.4767 6.9083 1.2137
H 6.2817 7.6305 4.0259
H 7.1684 0.8197 4.1711
H 7.3634 4.0266 1.3589
H 9.3820 1.5361 2.9110
H 9.5771 3.3102 0.0989
O 0.3340 7.0573 0.3971
O 0.1389 7.4815 3.2093
O 0.6970 0.1301 4.9509
O 0.8921 4.7161 2.1387
O 1.4120 0.0451 2.2298
O 1.2169 4.8011 5.0420
O 1.9251 2.3862 3.8261
O 2.1201 2.4600 1.0139
O 3.4064 0.0076 4.1942
O 3.6015 4.8386 1.3820
O 3.6376 5.7825 4.0012
O 3.8327 8.7563 1.1890
O 4.5961 1.8503 2.1082
O 4.4011 2.9960 4.9204
O 5.6522 6.6965 0.7040
O 5.4571 7.8423 3.5161
O 6.2206 0.9362 4.4353
O 6.4156 3.9100 1.6231
O 6.4518 4.8539 4.2423
O 6.6468 9.6849 1.4301
O 7.9331 7.2325 4.6104
O 8.1282 7.3063 1.7983
O 8.8363 4.8914 0.5824
O 8.6412 9.6474 3.3945
O 9.1611 4.9764 3.4856
O 9.3562 9.5624 0.6735
O 9.9143 2.2110 2.4151
O 9.7193 2.6352 5.2272
```

Peak list (12 most intense, 2θ from 10° to 90°, by intensity)
d_spacing, intensity
7.096, 1000
4.310, 830
2.910, 792
4.854, 766
2.939, 469
3.067, 249
4.588, 240
2.746, 226
2.658, 208
3.513, 206
2.225, 203
2.241, 201

What is the formula in the third record?
Li5Fe8B8O24